# Na2Li3
Calculated powder diffraction line list, copper Kα. Input: the PBE geometry in Alexandria.
Kinematic intensities with the Lorentz-polarization factor, no thermal factor.

Top 10 peaks for 5 to 70 degrees two-theta, low angle first:
two_theta  I_rel
6.54  100
19.70  10
26.37  16
30.88  18
32.54  51
33.13  11
34.34  19
37.92  29
49.29  9
54.31  13

Crystal structure
```
Na2Li3
1.0
1.689 0.975 13.518
-1.689 0.975 13.518
0.000 -1.950 13.518
Na Li
2 3
Direct
0.206 0.206 0.206 Na
0.794 0.794 0.794 Na
0.000 0.000 0.000 Li
0.392 0.392 0.392 Li
0.608 0.608 0.608 Li
```